No. 1
Starting from DFT lattice parameters and positions (GGA-PBE), the XRD peak list of CsK2Rb2CuSb2 was calculated for Cu Kα.
Peak positions follow from Bragg's law for the DFT cell and can differ from measured ones.

Atomic structure:
```
CsK2Rb2CuSb2
1.0
3.0747 1.7752 9.6256
-3.0747 1.7752 9.6256
0.0000 -3.5504 9.6256
Cs K Rb Cu Sb
1 2 2 1 2
Cartesian
0.0000 0.0000 0.0000 Cs
0.0000 0.0000 8.1718 K
0.0000 0.0000 20.7049 K
0.0000 0.0000 3.9933 Rb
0.0000 0.0000 24.8834 Rb
0.0000 0.0000 14.4384 Cu
0.0000 0.0000 11.9156 Sb
0.0000 0.0000 16.9611 Sb
```

Main lines, in order of falling intensity (10 to 80 degrees two-theta):
29.04°, I 100
27.35°, I 60
17.75°, I 28
50.45°, I 21
40.31°, I 20
51.48°, I 19
47.25°, I 13
56.41°, I 13



No. 2
Starting from DFT lattice parameters and positions (GGA-PBE), the XRD peak list of Pr2Y2CI5 was calculated for Cu Kα.
Peak positions follow from Bragg's law for the DFT cell and can differ from measured ones.

Atomic structure:
```
Pr2Y2CI5
1.0
9.7322 -2.0320 0.0000
9.7322 2.0320 0.0000
-1.9385 0.0000 8.6957
Pr Y C I
2 2 1 5
Cartesian
-0.5712 0.0000 2.6463 Pr
18.0971 0.0000 6.0494 Pr
6.3989 0.0000 3.7956 Y
11.1271 0.0000 4.9001 Y
8.7630 0.0000 4.3479 C
1.6415 0.0000 7.1996 I
2.6710 0.0000 2.9320 I
9.7322 0.0000 0.0000 I
14.8549 0.0000 5.7637 I
15.8844 0.0000 1.4961 I
```

Main lines, in order of falling intensity (10 to 80 degrees two-theta):
29.76°, I 100
28.18°, I 47
32.25°, I 32
41.61°, I 29
41.28°, I 28
44.59°, I 18
10.17°, I 15
40.50°, I 15